Record 1
Simulated powder X-ray diffraction pattern of LaPm7Ir4 for CuKα, from the GGA-PBE geometry in Alexandria.
Kinematic intensities with the Lorentz-polarization factor, no thermal factor.

The 10 most intense peaks (2θ from 10° to 90°), by angle:
- (4 0 -3), 2θ 29.03, d = 3.076 Å, I = 33
- (3 1 -3), 2θ 31.13, d = 2.873 Å, I = 28
- (1 1 2), 2θ 31.51, d = 2.839 Å, I = 25
- (0 2 0), 2θ 32.40, d = 2.763 Å, I = 100
- (3 1 1), 2θ 35.46, d = 2.531 Å, I = 81
- (2 0 -4), 2θ 36.32, d = 2.473 Å, I = 31
- (5 1 -3), 2θ 37.24, d = 2.414 Å, I = 69
- (5 1 -1), 2θ 38.32, d = 2.349 Å, I = 23
- (4 2 -3), 2θ 44.07, d = 2.055 Å, I = 25
- (2 2 -4), 2θ 49.46, d = 1.843 Å, I = 26

Structural model:
```
data_LaPm7Ir4
_symmetry_space_group_name_H-M 'C 1 2/m 1'
_symmetry_Int_Tables_number 12
_cell_length_a 13.9375
_cell_length_b 5.5261
_cell_length_c 10.2567
_cell_angle_alpha 90.00
_cell_angle_beta 126.08
_cell_angle_gamma 90.00
loop_
_symmetry_equiv_pos_as_xyz
'x,y,z'
'-x,-y,-z'
'-x,y,-z'
'x,-y,z'
'x+1/2,y+1/2,z'
'-x+1/2,-y+1/2,-z'
'-x+1/2,y+1/2,-z'
'x+1/2,-y+1/2,z'
loop_
_atom_site_label
_atom_site_type_symbol
_atom_site_fract_x
_atom_site_fract_y
_atom_site_fract_z
_atom_site_occupancy
La1 La 0.0000 0.0000 0.0000 1
Pm1 Pm 0.0000 0.5000 0.0000 1
Pm2 Pm 0.0869 0.0000 0.3785 1
Pm3 Pm 0.1646 0.5000 0.6132 1
Pm4 Pm 0.2105 0.0000 0.8703 1
Ir1 Ir 0.0681 0.5000 0.7852 1
Ir2 Ir 0.1991 0.5000 0.3252 1
```



Record 2
Simulated powder X-ray diffraction pattern of La3PmIr3 for CuKα, from the GGA-PBE geometry in Alexandria.
Kinematic intensities with the Lorentz-polarization factor, no thermal factor.

The 10 most intense peaks (2θ from 10° to 90°), by angle:
- (1 1 0), 2θ 20.18, d = 4.400 Å, I = 45
- (2 -1 3), 2θ 25.48, d = 3.496 Å, I = 19
- (0 0 6), 2θ 31.06, d = 2.879 Å, I = 24
- (3 -1 1), 2θ 31.49, d = 2.841 Å, I = 31
- (3 -2 2), 2θ 32.78, d = 2.732 Å, I = 27
- (3 0 0), 2θ 35.33, d = 2.540 Å, I = 95
- (2 -1 6), 2θ 37.32, d = 2.409 Å, I = 100
- (0 3 6), 2θ 47.75, d = 1.905 Å, I = 20
- (2 2 6), 2θ 52.34, d = 1.748 Å, I = 23
- (1 1 12), 2θ 68.59, d = 1.368 Å, I = 20

Structural model:
```
data_La3PmIr3
_symmetry_space_group_name_H-M 'R -3'
_symmetry_Int_Tables_number 148
_symmetry_space_group_name_Hall '-R 3'
_cell_length_a 8.7994
_cell_length_b 8.7994
_cell_length_c 17.2755
_cell_angle_alpha 90.00
_cell_angle_beta 90.00
_cell_angle_gamma 120.00
loop_
_atom_site_label
_atom_site_type_symbol
_atom_site_fract_x
_atom_site_fract_y
_atom_site_fract_z
_atom_site_occupancy
La1 La 0.0193 0.7317 0.1006 1
Pm1 Pm 0.0000 0.0000 0.3249 1
Ir1 Ir 0.0082 0.6306 0.9343 1
```



Record 3
Simulated powder X-ray diffraction pattern of La2Pm2Si4Ir for CuKα, from the GGA-PBE geometry in Alexandria.
Kinematic intensities with the Lorentz-polarization factor, no thermal factor.

The 10 most intense peaks (2θ from 10° to 90°), by angle:
- (1 1 0), 2θ 17.94, d = 4.944 Å, I = 24
- (2 0 0), 2θ 25.48, d = 3.496 Å, I = 100
- (1 1 2), 2θ 27.13, d = 3.287 Å, I = 28
- (2 0 2), 2θ 32.72, d = 2.737 Å, I = 42
- (1 0 3), 2θ 33.11, d = 2.705 Å, I = 55
- (2 2 0), 2θ 36.34, d = 2.472 Å, I = 74
- (2 1 3), 2θ 42.24, d = 2.139 Å, I = 55
- (4 0 0), 2θ 52.34, d = 1.748 Å, I = 26
- (3 2 3), 2θ 56.92, d = 1.618 Å, I = 25
- (3 1 6), 2θ 78.21, d = 1.222 Å, I = 20

Structural model:
```
data_La2Pm2Si4Ir
_symmetry_space_group_name_H-M 'I 4/m m m'
_symmetry_Int_Tables_number 139
_symmetry_space_group_name_Hall '-I 4 2'
_cell_length_a 6.9917
_cell_length_b 6.9917
_cell_length_c 8.8011
_cell_angle_alpha 90.00
_cell_angle_beta 90.00
_cell_angle_gamma 90.00
loop_
_atom_site_label
_atom_site_type_symbol
_atom_site_fract_x
_atom_site_fract_y
_atom_site_fract_z
_atom_site_occupancy
La1 La 0.0000 0.5000 0.2500 1
Pm1 Pm 0.0000 0.0000 0.1853 1
Si1 Si 0.2434 0.2434 0.5000 1
Ir1 Ir 0.0000 0.0000 0.5000 1
```



Record 4
Simulated powder X-ray diffraction pattern of La6Ir2PtRh for CuKα, from the GGA-PBE geometry in Alexandria.
Kinematic intensities with the Lorentz-polarization factor, no thermal factor.

The 10 most intense peaks (2θ from 10° to 90°), by angle:
- (0 1 2), 2θ 16.64, d = 5.329 Å, I = 36
- (1 0 4), 2θ 22.67, d = 3.922 Å, I = 16
- (2 -1 3), 2θ 27.96, d = 3.191 Å, I = 88
- (1 1 6), 2θ 36.52, d = 2.460 Å, I = 100
- (3 0 0), 2θ 43.16, d = 2.096 Å, I = 59
- (1 1 9), 2θ 47.87, d = 1.900 Å, I = 20
- (2 2 3), 2θ 52.21, d = 1.752 Å, I = 15
- (4 -2 6), 2θ 57.79, d = 1.595 Å, I = 27
- (3 0 12), 2θ 72.27, d = 1.307 Å, I = 26
- (4 1 6), 2θ 74.78, d = 1.270 Å, I = 25

Structural model:
```
data_La6Ir2PtRh
_symmetry_space_group_name_H-M 'R 3'
_symmetry_Int_Tables_number 146
_symmetry_space_group_name_Hall 'R 3'
_cell_length_a 7.2610
_cell_length_b 7.2610
_cell_length_c 20.0713
_cell_angle_alpha 90.00
_cell_angle_beta 90.00
_cell_angle_gamma 120.00
loop_
_atom_site_label
_atom_site_type_symbol
_atom_site_fract_x
_atom_site_fract_y
_atom_site_fract_z
_atom_site_occupancy
La1 La 0.9998 0.6583 0.0000 1
La2 La 0.0045 0.3371 0.5017 1
Ir1 Ir 0.0000 0.0000 0.2500 1
Ir2 Ir 0.0000 0.0000 0.7506 1
Pt1 Pt 0.0000 0.0000 0.0836 1
Rh1 Rh 0.0000 0.0000 0.5844 1
```



Record 5
Simulated powder X-ray diffraction pattern of La8Ir2RuPt for CuKα, from the GGA-PBE geometry in Alexandria.
Kinematic intensities with the Lorentz-polarization factor, no thermal factor.

The 10 most intense peaks (2θ from 10° to 90°), by angle:
- (1 0 -1), 2θ 18.40, d = 4.822 Å, I = 86
- (1 2 0), 2θ 24.44, d = 3.642 Å, I = 19
- (1 2 -1), 2θ 27.72, d = 3.218 Å, I = 100
- (1 0 2), 2θ 29.20, d = 3.059 Å, I = 25
- (1 2 -2), 2θ 35.93, d = 2.500 Å, I = 33
- (2 2 -1), 2θ 36.17, d = 2.484 Å, I = 78
- (0 4 0), 2θ 41.81, d = 2.161 Å, I = 29
- (0 2 3), 2θ 44.77, d = 2.024 Å, I = 48
- (3 2 0), 2θ 45.37, d = 1.999 Å, I = 20
- (4 2 -3), 2θ 72.69, d = 1.301 Å, I = 19

Structural model:
```
data_La8Ir2RuPt
_symmetry_space_group_name_H-M 'P 1 2/m 1'
_symmetry_Int_Tables_number 10
_cell_length_a 6.7650
_cell_length_b 8.6424
_cell_length_c 6.8737
_cell_angle_alpha 90.00
_cell_angle_beta 90.26
_cell_angle_gamma 90.00
loop_
_symmetry_equiv_pos_as_xyz
'x,y,z'
'-x,-y,-z'
'-x,y,-z'
'x,-y,z'
loop_
_atom_site_label
_atom_site_type_symbol
_atom_site_fract_x
_atom_site_fract_y
_atom_site_fract_z
_atom_site_occupancy
La1 La 0.2197 0.0000 0.3350 1
La2 La 0.2281 0.5000 0.3300 1
La3 La 0.2735 0.2596 0.8310 1
Ir1 Ir 0.0000 0.2503 0.5000 1
Ru1 Ru 0.5000 0.5000 0.0000 1
Pt1 Pt 0.5000 0.0000 0.0000 1
```



Record 6
Simulated powder X-ray diffraction pattern of LaPu3Ir2 for CuKα, from the GGA-PBE geometry in Alexandria.
Kinematic intensities with the Lorentz-polarization factor, no thermal factor.

The 10 most intense peaks (2θ from 10° to 90°), by angle:
- (1 2 1), 2θ 30.97, d = 2.887 Å, I = 100
- (0 2 2), 2θ 32.54, d = 2.751 Å, I = 31
- (1 1 2), 2θ 32.86, d = 2.726 Å, I = 87
- (1 3 0), 2θ 37.19, d = 2.418 Å, I = 79
- (2 0 0), 2θ 38.02, d = 2.367 Å, I = 60
- (0 1 3), 2θ 38.71, d = 2.326 Å, I = 27
- (1 1 3), 2θ 43.34, d = 2.088 Å, I = 22
- (2 2 2), 2θ 50.89, d = 1.794 Å, I = 18
- (2 1 3), 2θ 55.36, d = 1.660 Å, I = 26
- (1 4 3), 2θ 61.53, d = 1.507 Å, I = 26

Structural model:
```
data_LaPu3Ir2
_symmetry_space_group_name_H-M 'P m c 21'
_symmetry_Int_Tables_number 26
_cell_length_a 4.7335
_cell_length_b 8.4359
_cell_length_c 7.2601
_cell_angle_alpha 90.00
_cell_angle_beta 90.00
_cell_angle_gamma 90.00
loop_
_symmetry_equiv_pos_as_xyz
'x,y,z'
'-x,-y,z+1/2'
'-x,y,z'
'x,-y,z+1/2'
loop_
_atom_site_label
_atom_site_type_symbol
_atom_site_fract_x
_atom_site_fract_y
_atom_site_fract_z
_atom_site_occupancy
La1 La 0.0000 0.0705 0.0000 1
Pu1 Pu 0.0000 0.3404 0.6483 1
Pu2 Pu 0.5000 0.1717 0.3469 1
Pu3 Pu 0.5000 0.4377 0.0004 1
Ir1 Ir 0.0000 0.3420 0.2586 1
Ir2 Ir 0.5000 0.1732 0.7391 1
```



Record 7
Simulated powder X-ray diffraction pattern of La5Ir2Rh for CuKα, from the GGA-PBE geometry in Alexandria.
Kinematic intensities with the Lorentz-polarization factor, no thermal factor.

The 10 most intense peaks (2θ from 10° to 90°), by angle:
- (0 2 0), 2θ 13.29, d = 6.664 Å, I = 42
- (1 1 0), 2θ 16.78, d = 5.283 Å, I = 92
- (0 2 3), 2θ 23.13, d = 3.845 Å, I = 67
- (0 4 2), 2θ 29.64, d = 3.014 Å, I = 40
- (2 0 0), 2θ 31.09, d = 2.877 Å, I = 100
- (0 4 3), 2θ 32.93, d = 2.720 Å, I = 68
- (1 5 3), 2θ 41.99, d = 2.152 Å, I = 40
- (0 6 2), 2θ 42.72, d = 2.117 Å, I = 41
- (2 4 3), 2θ 45.92, d = 1.976 Å, I = 54
- (2 2 5), 2θ 47.10, d = 1.930 Å, I = 40

Structural model:
```
data_La5Ir2Rh
_symmetry_space_group_name_H-M 'C m c m'
_symmetry_Int_Tables_number 63
_symmetry_space_group_name_Hall '-C 2c 2'
_cell_length_a 5.7540
_cell_length_b 13.3287
_cell_length_c 14.1233
_cell_angle_alpha 90.00
_cell_angle_beta 90.00
_cell_angle_gamma 90.00
loop_
_atom_site_label
_atom_site_type_symbol
_atom_site_fract_x
_atom_site_fract_y
_atom_site_fract_z
_atom_site_occupancy
La1 La 0.0000 0.0526 0.1182 1
La2 La 0.0000 0.2521 0.7500 1
La3 La 0.0000 0.3297 0.0657 1
Ir1 Ir 0.0000 0.1493 0.5607 1
Rh1 Rh 0.0000 0.2108 0.2500 1
```



Record 8
Simulated powder X-ray diffraction pattern of La2IrRh3 for CuKα, from the GGA-PBE geometry in Alexandria.
Kinematic intensities with the Lorentz-polarization factor, no thermal factor.

The 10 most intense peaks (2θ from 10° to 90°), by angle:
- (1 0 1), 2θ 19.94, d = 4.453 Å, I = 8
- (1 1 0), 2θ 32.85, d = 2.727 Å, I = 31
- (1 1 3), 2θ 38.73, d = 2.325 Å, I = 100
- (0 0 6), 2θ 40.52, d = 2.226 Å, I = 37
- (3 0 0), 2θ 58.65, d = 1.574 Å, I = 12
- (3 0 3), 2θ 62.59, d = 1.484 Å, I = 32
- (2 2 0), 2θ 68.88, d = 1.363 Å, I = 27
- (1 2 8), 2θ 78.44, d = 1.219 Å, I = 5
- (0 1 11), 2θ 81.93, d = 1.176 Å, I = 11
- (2 2 6), 2θ 83.08, d = 1.163 Å, I = 14

Structural model:
```
data_La2IrRh3
_symmetry_space_group_name_H-M 'R -3 m'
_symmetry_Int_Tables_number 166
_symmetry_space_group_name_Hall '-R 3 2"'
_cell_length_a 5.4537
_cell_length_b 5.4537
_cell_length_c 13.3526
_cell_angle_alpha 90.00
_cell_angle_beta 90.00
_cell_angle_gamma 120.00
loop_
_atom_site_label
_atom_site_type_symbol
_atom_site_fract_x
_atom_site_fract_y
_atom_site_fract_z
_atom_site_occupancy
La1 La 0.0000 0.0000 0.1253 1
Ir1 Ir 0.0000 0.0000 0.5000 1
Rh1 Rh 0.0000 0.5000 0.0000 1
```